Starting from a structure optimized by DFT (GGA-PBE), the XRD peak list of KUPN4 was calculated for λ = 1.5418 Å (Cu Kα).

Atomic structure:
```
data_KUPN4
_chemical_formula_sum 'K2 U2 P2 N8'
_cell_length_a 5.4693
_cell_length_b 5.5610
_cell_length_c 7.5899
_cell_angle_alpha 90.00
_cell_angle_beta 106.67
_cell_angle_gamma 90.00
_symmetry_space_group_name_H-M 'P 1 21/m 1'
_symmetry_Int_Tables_number 11
_symmetry_space_group_name_Hall '-P 2yb'
loop_
_atom_site_label
_atom_site_type_symbol
_atom_site_fract_x
_atom_site_fract_y
_atom_site_fract_z
K1 K 0.2001 0.2500 0.4331
U1 U 0.2632 0.2500 0.9534
P1 P 0.2639 0.7500 0.1585
N1 N 0.0582 0.7500 0.9454
N2 N 0.0690 0.7500 0.2863
N3 N 0.4586 0.5205 0.1704
```

Largest 6 diffraction maxima, most intense first, 2θ = 10–90°:
h k l  Position (°2θ)  I_rel
0 0 1  12.2  100
1 1 0  23.3  45
1 1 -2  30.2  22
1 1 -1  24.0  19
0 2 0  32.2  19
1 1 2  37.6  17



Starting from a structure optimized by DFT (GGA-PBE), the XRD peak list of PrGe4Ir2 was calculated for λ = 1.5418 Å (Cu Kα).

Atomic structure:
```
data_PrGe4Ir2
_chemical_formula_sum 'Pr4 Ge16 Ir8'
_cell_length_a 17.5869
_cell_length_b 4.2973
_cell_length_c 6.7493
_cell_angle_alpha 90.00
_cell_angle_beta 90.00
_cell_angle_gamma 90.00
_symmetry_space_group_name_H-M 'P n m a'
_symmetry_Int_Tables_number 62
_symmetry_space_group_name_Hall '-P 2ac 2n'
loop_
_atom_site_label
_atom_site_type_symbol
_atom_site_fract_x
_atom_site_fract_y
_atom_site_fract_z
Pr1 Pr 0.1415 0.2500 0.0049
Ge1 Ge 0.0321 0.7500 0.1370
Ge2 Ge 0.0661 0.2500 0.5313
Ge3 Ge 0.1816 0.7500 0.6986
Ge4 Ge 0.1944 0.7500 0.2851
Ir1 Ir 0.0319 0.7500 0.7466
Ir2 Ir 0.2099 0.2500 0.4897
```

Largest 6 diffraction maxima, most intense first, 2θ = 10–90°:
h k l  Position (°2θ)  I_rel
2 1 2  35.3  100
0 2 0  42.1  52
5 1 1  35.6  48
6 1 2  46.1  36
7 0 1  38.2  35
2 0 2  28.3  25



Starting from a structure optimized by DFT (GGA-PBE), the XRD peak list of K2BaRh was calculated for λ = 1.5418 Å (Cu Kα).

Atomic structure:
```
data_K2BaRh
_chemical_formula_sum 'K4 Ba2 Rh2'
_cell_length_a 8.2571
_cell_length_b 4.7489
_cell_length_c 10.6074
_cell_angle_alpha 90.00
_cell_angle_beta 104.74
_cell_angle_gamma 90.00
_symmetry_space_group_name_H-M 'C 1 m 1'
_symmetry_Int_Tables_number 8
_symmetry_space_group_name_Hall 'C -2y'
loop_
_atom_site_label
_atom_site_type_symbol
_atom_site_fract_x
_atom_site_fract_y
_atom_site_fract_z
K1 K 0.0000 0.0000 0.0000
K2 K 0.2096 0.0000 0.6303
Ba1 Ba 0.2803 0.5000 0.3379
Rh1 Rh 0.4774 0.0000 0.4293
```

Largest 6 diffraction maxima, most intense first, 2θ = 10–90°:
h k l  Position (°2θ)  I_rel
2 0 -2  24.5  100
1 1 2  29.7  49
3 1 -1  37.8  34
0 0 2  17.3  33
0 0 3  26.1  29
3 1 0  38.8  27